Structure and calculated powder X-ray diffraction pattern of PIrRuN (a DFT-relaxed cell (PBE, Alexandria); Cu Kα (λ = 1.5418 Å)).

Largest 10 diffraction maxima, in order of rising 2θ, 10° ≤ 2θ ≤ 90°:
d [Å]	Rel. int.	index
6.083	274	0 0 1
3.041	258	0 0 2
2.855	386	1 0 0
2.584	1000	1 0 1
2.082	409	0 1 2
1.653	271	1 0 3
1.648	261	1 1 0
1.449	169	1 1 2
1.390	150	0 2 1
1.342	117	0 1 4

```
data_PIrRuN
_chemical_formula_sum 'P1 Ir1 Ru1 N1'
_cell_length_a 3.2965
_cell_length_b 3.2965
_cell_length_c 6.0827
_cell_angle_alpha 90.00
_cell_angle_beta 90.00
_cell_angle_gamma 120.00
_symmetry_space_group_name_H-M 'P 3 m 1'
_symmetry_Int_Tables_number 156
loop_
_symmetry_equiv_pos_as_xyz
'x,y,z'
'-y,x-y,z'
'-x+y,-x,z'
'-y,-x,z'
'-x+y,y,z'
'x,x-y,z'
loop_
_atom_site_label
_atom_site_fract_x
_atom_site_fract_y
_atom_site_fract_z
P1 0.0000 0.0000 0.0000
Ir1 0.6667 0.3333 0.7887
Ru1 0.0000 0.0000 0.3791
N1 0.6667 0.3333 0.4487
```

---

Structure and calculated powder X-ray diffraction pattern of Pa3IrN6 (a DFT-relaxed cell (PBE, Alexandria); Cu Kα (λ = 1.5418 Å)).

Largest 10 diffraction maxima, in order of rising 2θ, 10° ≤ 2θ ≤ 90°:
d [Å]	Rel. int.	index
2.991	1000	2 2 1
2.969	437	1 3 1
2.919	135	3 1 0
2.773	257	0 0 2
2.583	135	3 1 1
2.010	149	3 1 2
1.824	218	3 5 0
1.640	155	2 2 3
1.570	195	5 3 1
1.524	142	3 5 2

```
data_Pa3IrN6
_chemical_formula_sum 'Pa12 Ir4 N24'
_cell_length_a 9.058
_cell_length_b 11.444
_cell_length_c 5.545
_cell_angle_alpha 90.00
_cell_angle_beta 90.00
_cell_angle_gamma 90.00
_symmetry_space_group_name_H-M 'C m c 21'
_symmetry_Int_Tables_number 36
loop_
_symmetry_equiv_pos_as_xyz
'x,y,z'
'-x,-y,z+1/2'
'-x,y,z'
'x,-y,z+1/2'
'x+1/2,y+1/2,z'
'-x+1/2,-y+1/2,z+1/2'
'-x+1/2,y+1/2,z'
'x+1/2,-y+1/2,z+1/2'
loop_
_atom_site_label
_atom_site_fract_x
_atom_site_fract_y
_atom_site_fract_z
Pa1 0.000 0.105 0.000
Pa2 0.200 0.388 0.966
Ir1 0.000 0.294 0.430
N1 0.000 0.289 0.763
N2 0.000 0.444 0.200
N3 0.158 0.014 0.738
N4 0.163 0.229 0.195
```

---

Structure and calculated powder X-ray diffraction pattern of Sm3Pa3IrN8 (a DFT-relaxed cell (PBE, Alexandria); Cu Kα (λ = 1.5418 Å)).

Largest 10 diffraction maxima, in order of rising 2θ, 10° ≤ 2θ ≤ 90°:
d [Å]	Rel. int.	index
5.705	242	0 0 3
2.853	351	0 0 6
2.813	1000	2 0 2
2.445	944	0 2 4
1.738	329	2 0 8
1.720	325	2 2 0
1.484	180	0 2 10
1.473	308	2 2 6
1.407	165	4 0 4
1.098	151	2 2 12

```
data_Sm3Pa3IrN8
_chemical_formula_sum 'Sm9 Pa9 Ir3 N24'
_cell_length_a 6.8790
_cell_length_b 6.8790
_cell_length_c 17.1160
_cell_angle_alpha 90.00
_cell_angle_beta 90.00
_cell_angle_gamma 120.00
_symmetry_space_group_name_H-M 'R -3 m'
_symmetry_Int_Tables_number 166
_symmetry_space_group_name_Hall '-R 3 2"'
loop_
_atom_site_label
_atom_site_fract_x
_atom_site_fract_y
_atom_site_fract_z
Sm1 0.0000 0.5000 0.0000
Pa1 0.0000 0.5000 0.5000
Ir1 0.0000 0.0000 0.5000
N1 0.0000 0.0000 0.2431
N2 0.0093 0.5046 0.2368
```

---

Structure and calculated powder X-ray diffraction pattern of Pa2VIrN5 (a DFT-relaxed cell (PBE, Alexandria); Cu Kα (λ = 1.5418 Å)).

Largest 10 diffraction maxima, in order of rising 2θ, 10° ≤ 2θ ≤ 90°:
d [Å]	Rel. int.	index
3.044	366	0 4 1
2.981	902	0 2 3
2.711	1000	1 1 2
2.700	449	0 4 2
2.617	676	1 3 0
2.533	358	1 3 1
2.325	678	1 1 3
1.735	280	1 5 3
1.659	222	2 0 0
1.579	345	1 5 4

```
data_Pa2VIrN5
_chemical_formula_sum 'Pa8 V4 Ir4 N20'
_cell_length_a 3.318
_cell_length_b 12.770
_cell_length_c 10.113
_cell_angle_alpha 90.00
_cell_angle_beta 90.00
_cell_angle_gamma 90.00
_symmetry_space_group_name_H-M 'C m c 21'
_symmetry_Int_Tables_number 36
loop_
_symmetry_equiv_pos_as_xyz
'x,y,z'
'-x,-y,z+1/2'
'-x,y,z'
'x,-y,z+1/2'
'x+1/2,y+1/2,z'
'-x+1/2,-y+1/2,z+1/2'
'-x+1/2,y+1/2,z'
'x+1/2,-y+1/2,z+1/2'
loop_
_atom_site_label
_atom_site_fract_x
_atom_site_fract_y
_atom_site_fract_z
Pa1 0.000 0.102 0.000
Pa2 0.000 0.151 0.629
V1 0.000 0.204 0.340
Ir1 0.000 0.470 0.773
N1 0.000 0.063 0.398
N2 0.000 0.276 0.979
N3 0.000 0.319 0.696
N4 0.000 0.365 0.318
N5 0.000 0.484 0.085
```

---

Structure and calculated powder X-ray diffraction pattern of Pm4IrN (a DFT-relaxed cell (PBE, Alexandria); Cu Kα (λ = 1.5418 Å)).

Largest 10 diffraction maxima, in order of rising 2θ, 10° ≤ 2θ ≤ 90°:
d [Å]	Rel. int.	index
4.545	436	2 0 0
3.616	257	2 1 1
2.984	1000	2 0 2
2.875	472	3 1 0
2.325	499	3 1 2
2.273	279	4 0 0
1.978	151	0 0 4
1.884	520	3 3 2
1.559	178	5 3 0
1.143	166	7 3 2

```
data_Pm4IrN
_chemical_formula_sum 'Pm16 Ir4 N4'
_cell_length_a 9.090
_cell_length_b 9.090
_cell_length_c 7.912
_cell_angle_alpha 90.00
_cell_angle_beta 90.00
_cell_angle_gamma 90.00
_symmetry_space_group_name_H-M 'I 41 m d'
_symmetry_Int_Tables_number 109
_symmetry_space_group_name_Hall 'I 4bw -2'
loop_
_atom_site_label
_atom_site_fract_x
_atom_site_fract_y
_atom_site_fract_z
Pm1 0.000 0.303 0.000
Pm2 0.000 0.309 0.454
Ir1 0.000 0.000 0.482
N1 0.000 0.000 0.963
```

---

Structure and calculated powder X-ray diffraction pattern of Pm6IrN2 (a DFT-relaxed cell (PBE, Alexandria); Cu Kα (λ = 1.5418 Å)).

Largest 10 diffraction maxima, in order of rising 2θ, 10° ≤ 2θ ≤ 90°:
d [Å]	Rel. int.	index
4.484	145	1 1 0
3.218	392	1 1 -2
2.919	1000	3 1 0
2.867	133	2 0 -3
2.578	151	2 0 2
2.555	133	4 0 -3
2.461	353	0 2 0
2.407	141	1 1 -3
2.060	193	5 1 -3
1.495	141	3 3 0

```
data_Pm6IrN2
_chemical_formula_sum 'Pm12 Ir2 N4'
_cell_length_a 12.390
_cell_length_b 4.922
_cell_length_c 8.601
_cell_angle_alpha 90.00
_cell_angle_beta 118.58
_cell_angle_gamma 90.00
_symmetry_space_group_name_H-M 'C 1 2/m 1'
_symmetry_Int_Tables_number 12
loop_
_symmetry_equiv_pos_as_xyz
'x,y,z'
'-x,-y,-z'
'-x,y,-z'
'x,-y,z'
'x+1/2,y+1/2,z'
'-x+1/2,-y+1/2,-z'
'-x+1/2,y+1/2,-z'
'x+1/2,-y+1/2,z'
loop_
_atom_site_label
_atom_site_fract_x
_atom_site_fract_y
_atom_site_fract_z
Pm1 0.017 0.000 0.197
Pm2 0.157 0.500 0.596
Pm3 0.195 0.500 0.083
Ir1 0.000 0.000 0.500
N1 0.181 0.000 0.087
```